No. 1
Theoretical powder XRD pattern of Ca4SiH for a wavelength of 1.5418 Å, from a DFT-relaxed cell (GGA-PBE, Alexandria).
Kinematic intensities with the Lorentz-polarization factor, no thermal factor.

Cell and atoms:
```
6
Lattice="5.0197 0.0000 0.0000 0.0000 2.5181 6.5805 0.0000 -2.5181 6.5805" Properties=species:S:1:pos:R:3 pbc="T T T"
Ca 0.0000 0.0000 0.0000
Ca 0.0000 0.0000 3.4604
Ca 2.5099 0.0000 6.3477
Ca 2.5099 0.0000 9.9229
Si 0.0000 0.0000 8.1886
H 2.5099 0.0000 3.8472
```

Peak list (12 most intense, 2θ from 10° to 90°, low angle first)
| d_spacing | I/Imax |
| --- | --- |
| 3.432 | 47 |
| 3.290 | 28 |
| 2.762 | 100 |
| 2.518 | 28 |
| 2.510 | 28 |
| 2.116 | 20 |
| 1.998 | 26 |
| 1.778 | 18 |
| 1.564 | 11 |
| 1.497 | 13 |
| 1.493 | 14 |
| 1.377 | 11 |

=====

No. 2
Theoretical powder XRD pattern of CsCuAg2I4 for a wavelength of 1.5418 Å, from a DFT-relaxed cell (GGA-PBE, Alexandria).
Kinematic intensities with the Lorentz-polarization factor, no thermal factor.

Cell and atoms:
```
16
Lattice="10.3703 0.0000 0.0000 0.0000 7.7848 0.0000 0.0000 0.0000 7.9814" Properties=species:S:1:pos:R:3 pbc="T T T"
Cs 0.0000 1.4351 0.0000
Cs 5.1852 6.3497 3.9907
Cu 0.0000 6.3189 4.1167
Cu 5.1852 1.4659 0.1260
Ag 2.5885 2.6088 4.2327
Ag 2.5966 5.1759 0.2420
Ag 7.7818 2.6088 4.2327
Ag 7.7737 5.1759 0.2420
I 0.0000 1.1593 4.2368
I 0.0000 5.7060 1.5413
I 1.9962 5.1539 5.4053
I 3.1890 2.6308 1.4146
I 5.1852 2.0788 5.5320
I 5.1852 6.6255 0.2461
I 7.1813 2.6308 1.4146
I 8.3742 5.1539 5.4053
```

Peak list (12 most intense, 2θ from 10° to 90°, low angle first)
| d_spacing | I/Imax |
| --- | --- |
| 4.316 | 100 |
| 3.991 | 85 |
| 3.892 | 84 |
| 3.796 | 96 |
| 3.360 | 84 |
| 3.170 | 41 |
| 2.932 | 55 |
| 2.593 | 58 |
| 2.321 | 71 |
| 2.265 | 87 |
| 2.175 | 46 |
| 2.007 | 72 |

=====

No. 3
Theoretical powder XRD pattern of Sm3Dy8Th for a wavelength of 1.5418 Å, from a DFT-relaxed cell (GGA-PBE, Alexandria).
Kinematic intensities with the Lorentz-polarization factor, no thermal factor.

Cell and atoms:
```
12
Lattice="-5.4312 5.7204 3.1402 5.4312 -5.7204 3.1402 5.4312 5.7204 -3.1402" Properties=species:S:1:pos:R:3 pbc="T T T"
Sm 0.0000 0.0000 0.0000
Sm 5.4312 2.8543 1.0595
Sm 0.0000 2.8662 4.1997
Dy 1.7841 2.8699 1.0081
Dy 3.6470 -2.8505 4.1484
Dy 3.5774 5.7204 -0.0298
Dy 1.8537 0.0000 3.1105
Dy 1.7841 8.5709 1.0081
Dy 3.6470 2.8505 4.1484
Dy -1.8054 5.7204 3.0922
Dy 1.8054 5.7204 3.0922
Th 0.0000 5.7204 0.0040
```

Peak list (12 most intense, 2θ from 10° to 90°, low angle first)
| d_spacing | I/Imax |
| --- | --- |
| 3.138 | 24 |
| 2.860 | 25 |
| 2.751 | 100 |
| 2.114 | 16 |
| 1.812 | 20 |
| 1.630 | 21 |
| 1.530 | 23 |
| 1.513 | 16 |
| 1.212 | 8 |
| 1.162 | 9 |
| 1.161 | 5 |
| 1.123 | 9 |

=====

No. 4
Theoretical powder XRD pattern of Cr2RePt2 for a wavelength of 1.5418 Å, from a DFT-relaxed cell (GGA-PBE, Alexandria).
Kinematic intensities with the Lorentz-polarization factor, no thermal factor.

Cell and atoms:
```
10
Lattice="7.3538 0.0000 0.0000 0.0000 7.3538 0.0000 0.0000 0.0000 2.6475" Properties=species:S:1:pos:R:3 pbc="T T T"
Cr 1.2593 2.4176 0.0000
Cr 2.4176 6.0944 0.0000
Cr 4.9362 1.2593 0.0000
Cr 6.0944 4.9362 0.0000
Re 0.0000 0.0000 1.3238
Re 3.6769 3.6769 1.3238
Pt 0.9431 4.6200 1.3238
Pt 2.7338 0.9431 1.3238
Pt 4.6200 6.4107 1.3238
Pt 6.4107 2.7338 1.3238
```

Peak list (12 most intense, 2θ from 10° to 90°, low angle first)
| d_spacing | I/Imax |
| --- | --- |
| 3.289 | 51 |
| 2.648 | 40 |
| 2.325 | 100 |
| 2.149 | 22 |
| 2.062 | 94 |
| 2.040 | 25 |
| 1.747 | 51 |
| 1.616 | 21 |
| 1.266 | 23 |
| 1.214 | 18 |
| 1.167 | 19 |
| 1.150 | 22 |

=====

No. 5
Theoretical powder XRD pattern of NaW2N4 for a wavelength of 1.5418 Å, from a DFT-relaxed cell (GGA-PBE, Alexandria).
Kinematic intensities with the Lorentz-polarization factor, no thermal factor.

Cell and atoms:
```
14
Lattice="5.8635 -3.0787 0.0000 5.8635 3.0787 0.0000 -3.2273 0.0000 5.2417" Properties=species:S:1:pos:R:3 pbc="T T T"
Na 0.0000 0.0000 0.0000
Na 0.5064 0.0000 3.9334
W 3.6074 1.3623 2.2269
W 3.6074 -1.3623 2.2269
W 6.6320 0.0000 2.0762
W 4.8351 0.0000 4.9991
N 2.6145 0.0000 3.1833
N 4.0215 0.0000 0.9109
N 5.1963 1.2615 3.2091
N 7.0590 1.3372 0.7382
N 5.1963 -1.2615 3.2091
N 7.0590 -1.3372 0.7382
N 9.5995 0.0000 0.8229
N 8.2743 0.0000 2.9716
```

Peak list (12 most intense, 2θ from 10° to 90°, low angle first)
| d_spacing | I/Imax |
| --- | --- |
| 5.241 | 100 |
| 2.928 | 28 |
| 2.654 | 40 |
| 2.620 | 55 |
| 2.497 | 17 |
| 2.177 | 22 |
| 2.122 | 15 |
| 2.010 | 9 |
| 1.683 | 16 |
| 1.641 | 19 |
| 1.464 | 13 |
| 1.327 | 11 |

=====

Copy entry 5 word for word.
Theoretical powder XRD pattern of NaW2N4 for a wavelength of 1.5418 Å, from a DFT-relaxed cell (GGA-PBE, Alexandria).
Kinematic intensities with the Lorentz-polarization factor, no thermal factor.

Cell and atoms:
```
14
Lattice="5.8635 -3.0787 0.0000 5.8635 3.0787 0.0000 -3.2273 0.0000 5.2417" Properties=species:S:1:pos:R:3 pbc="T T T"
Na 0.0000 0.0000 0.0000
Na 0.5064 0.0000 3.9334
W 3.6074 1.3623 2.2269
W 3.6074 -1.3623 2.2269
W 6.6320 0.0000 2.0762
W 4.8351 0.0000 4.9991
N 2.6145 0.0000 3.1833
N 4.0215 0.0000 0.9109
N 5.1963 1.2615 3.2091
N 7.0590 1.3372 0.7382
N 5.1963 -1.2615 3.2091
N 7.0590 -1.3372 0.7382
N 9.5995 0.0000 0.8229
N 8.2743 0.0000 2.9716
```

Peak list (12 most intense, 2θ from 10° to 90°, low angle first)
| d_spacing | I/Imax |
| --- | --- |
| 5.241 | 100 |
| 2.928 | 28 |
| 2.654 | 40 |
| 2.620 | 55 |
| 2.497 | 17 |
| 2.177 | 22 |
| 2.122 | 15 |
| 2.010 | 9 |
| 1.683 | 16 |
| 1.641 | 19 |
| 1.464 | 13 |
| 1.327 | 11 |